Simulated powder X-ray diffraction pattern of Pr8IrPd5 for copper Kα, from a structure optimized by DFT (PBE).
No peak broadening, texture or thermal motion is included.

Cell and atoms:
Unit cell a=7.888 b=7.888 c=7.888 alpha=109.66 beta=109.66 gamma=109.10
Positions (direct):
Pr: 0.003 0.135 0.757
Pr: 0.264 0.506 0.639
Pr: 0.374 0.736 0.242
Pr: 0.378 0.246 0.243
Pr: 0.494 0.133 0.758
Pr: 0.754 0.997 0.132
Pr: 0.865 0.622 0.868
Pr: 0.867 0.626 0.361
Ir: 0.500 0.500 0.000
Pd: 0.130 0.002 0.372
Pd: 0.242 0.870 0.871
Pd: 0.629 0.758 0.628
Pd: 0.750 0.250 0.500
Pd: 0.998 0.371 0.129

Main lines, sorted by position (10 to 90 degrees two-theta):
2θ/deg, d (Å), I_rel
30.93, 2.891, 55
31.11, 2.875, 100
36.90, 2.436, 55
37.00, 2.430, 25
46.79, 1.941, 18
77.09, 1.237, 19